Structure and simulated powder X-ray diffraction pattern of Ni6SbTe2 (a DFT-relaxed cell (PBE, Alexandria); Cu Kα).
Peak positions follow from Bragg's law for the DFT cell and can differ from measured ones.

Most intense lines, 2θ from 10° to 90°, low angle first:
- 2θ 27.21, I = 44
- 2θ 33.15, I = 18
- 2θ 38.26, I = 39
- 2θ 43.93, I = 100
- 2θ 47.58, I = 63
- 2θ 55.69, I = 12
- 2θ 69.57, I = 32
- 2θ 86.05, I = 27
- 2θ 88.63, I = 9
- 2θ 89.68, I = 14

Structure:
```
data_Ni6SbTe2
_chemical_formula_sum 'Ni6 Sb1 Te2'
_symmetry_space_group_name_H-M 'P 1'
_symmetry_Int_Tables_number 1
_cell_length_a 9.9396
_cell_length_b 9.9396
_cell_length_c 9.9396
_cell_angle_alpha 157.84
_cell_angle_beta 157.84
_cell_angle_gamma 31.54
loop_
_symmetry_equiv_pos_as_xyz
'x,y,z'
loop_
_atom_site_label
_atom_site_type_symbol
_atom_site_fract_x
_atom_site_fract_y
_atom_site_fract_z
Ni1 Ni 0.0000 0.0000 0.0000
Ni2 Ni 0.2157 0.7157 0.5000
Ni3 Ni 0.3087 0.3087 0.0000
Ni4 Ni 0.4034 0.9034 0.5000
Ni5 Ni 0.7157 0.2157 0.5000
Ni6 Ni 0.9034 0.4034 0.5000
Sb1 Sb 0.8100 0.8100 0.0000
Te1 Te 0.1314 0.1314 0.0000
Te2 Te 0.4943 0.4943 0.0000
```

---

Structure and simulated powder X-ray diffraction pattern of NaCuRu2O8 (a DFT-relaxed cell (PBE, Alexandria); Cu Kα).
Peak positions follow from Bragg's law for the DFT cell and can differ from measured ones.

Most intense lines, 2θ from 10° to 90°, low angle first:
- 2θ 17.96, I = 43
- 2θ 25.80, I = 96
- 2θ 31.26, I = 100
- 2θ 31.62, I = 28
- 2θ 49.05, I = 62
- 2θ 53.05, I = 19
- 2θ 58.73, I = 16
- 2θ 62.87, I = 16
- 2θ 65.20, I = 19
- 2θ 75.13, I = 14

Structure:
```
data_NaCuRu2O8
_chemical_formula_sum 'Na1 Cu1 Ru2 O8'
_symmetry_space_group_name_H-M 'P 1'
_symmetry_Int_Tables_number 1
_cell_length_a 6.0262
_cell_length_b 6.0262
_cell_length_c 6.0262
_cell_angle_alpha 110.09
_cell_angle_beta 110.09
_cell_angle_gamma 108.24
loop_
_symmetry_equiv_pos_as_xyz
'x,y,z'
loop_
_atom_site_label
_atom_site_type_symbol
_atom_site_fract_x
_atom_site_fract_y
_atom_site_fract_z
Na1 Na 0.0000 0.0000 0.0000
Cu1 Cu 0.2500 0.7500 0.5000
Ru1 Ru 0.5000 0.5000 0.0000
Ru2 Ru 0.7500 0.2500 0.5000
O1 O 0.3516 0.1412 0.7897
O2 O 0.3516 0.5619 0.2103
O3 O 0.4011 0.1012 0.3000
O4 O 0.4381 0.6484 0.7897
O5 O 0.8012 0.1012 0.7000
O6 O 0.8588 0.6484 0.2103
O7 O 0.8988 0.1988 0.3000
O8 O 0.8988 0.5989 0.7000
```

---

Structure and simulated powder X-ray diffraction pattern of PrNd9Er2 (a DFT-relaxed cell (PBE, Alexandria); Cu Kα).
Peak positions follow from Bragg's law for the DFT cell and can differ from measured ones.

Most intense lines, 2θ from 10° to 90°, low angle first:
- 2θ 29.95, I = 100
- 2θ 34.73, I = 51
- 2θ 49.93, I = 36
- 2θ 59.32, I = 43
- 2θ 62.25, I = 12
- 2θ 73.29, I = 6
- 2θ 81.14, I = 18
- 2θ 83.72, I = 16

Structure:
```
data_PrNd9Er2
_chemical_formula_sum 'Pr1 Nd9 Er2'
_symmetry_space_group_name_H-M 'P 1'
_symmetry_Int_Tables_number 1
_cell_length_a 5.1661
_cell_length_b 5.1661
_cell_length_c 15.5032
_cell_angle_alpha 90.00
_cell_angle_beta 90.00
_cell_angle_gamma 90.00
loop_
_symmetry_equiv_pos_as_xyz
'x,y,z'
loop_
_atom_site_label
_atom_site_type_symbol
_atom_site_fract_x
_atom_site_fract_y
_atom_site_fract_z
Pr1 Pr 0.0000 0.0000 0.0000
Nd1 Nd 0.0000 0.5000 0.1696
Nd2 Nd 0.0000 0.5000 0.5000
Nd3 Nd 0.0000 0.5000 0.8304
Nd4 Nd 0.5000 0.0000 0.1696
Nd5 Nd 0.5000 0.0000 0.5000
Nd6 Nd 0.5000 0.0000 0.8304
Nd7 Nd 0.5000 0.5000 0.0000
Nd8 Nd 0.5000 0.5000 0.3357
Nd9 Nd 0.5000 0.5000 0.6643
Er1 Er 0.0000 0.0000 0.3349
Er2 Er 0.0000 0.0000 0.6651
```

---

Structure and simulated powder X-ray diffraction pattern of In2BiCl (a DFT-relaxed cell (PBE, Alexandria); Cu Kα).
Peak positions follow from Bragg's law for the DFT cell and can differ from measured ones.

Most intense lines, 2θ from 10° to 90°, low angle first:
- 2θ 15.67, I = 37
- 2θ 29.63, I = 18
- 2θ 31.63, I = 59
- 2θ 33.69, I = 100
- 2θ 35.48, I = 11
- 2θ 43.89, I = 13
- 2θ 45.35, I = 22
- 2θ 57.66, I = 42
- 2θ 61.52, I = 17
- 2θ 70.83, I = 11

Structure:
```
data_In2BiCl
_chemical_formula_sum 'In2 Bi1 Cl1'
_symmetry_space_group_name_H-M 'P 1'
_symmetry_Int_Tables_number 1
_cell_length_a 5.6568
_cell_length_b 5.6568
_cell_length_c 3.5629
_cell_angle_alpha 90.00
_cell_angle_beta 90.00
_cell_angle_gamma 90.00
loop_
_symmetry_equiv_pos_as_xyz
'x,y,z'
loop_
_atom_site_label
_atom_site_type_symbol
_atom_site_fract_x
_atom_site_fract_y
_atom_site_fract_z
In1 In 0.0000 0.5000 0.0000
In2 In 0.5000 0.0000 0.0000
Bi1 Bi 0.0000 0.0000 0.5000
Cl1 Cl 0.5000 0.5000 0.5000
```

---

Structure and simulated powder X-ray diffraction pattern of KTh2Te6Au2 (a DFT-relaxed cell (PBE, Alexandria); Cu Kα).
Peak positions follow from Bragg's law for the DFT cell and can differ from measured ones.

Most intense lines, 2θ from 10° to 90°, low angle first:
- 2θ 12.90, I = 23
- 2θ 13.03, I = 53
- 2θ 24.71, I = 25
- 2θ 25.03, I = 100
- 2θ 32.89, I = 13
- 2θ 33.01, I = 53
- 2θ 37.81, I = 24
- 2θ 43.54, I = 25
- 2θ 44.21, I = 20
- 2θ 45.19, I = 17

Structure:
```
data_KTh2Te6Au2
_chemical_formula_sum 'K1 Th2 Te6 Au2'
_symmetry_space_group_name_H-M 'P 1'
_symmetry_Int_Tables_number 1
_cell_length_a 8.1381
_cell_length_b 8.2452
_cell_length_c 8.5173
_cell_angle_alpha 62.21
_cell_angle_beta 62.55
_cell_angle_gamma 61.29
loop_
_symmetry_equiv_pos_as_xyz
'x,y,z'
loop_
_atom_site_label
_atom_site_type_symbol
_atom_site_fract_x
_atom_site_fract_y
_atom_site_fract_z
K1 K 0.0000 0.0000 0.0000
Th1 Th 0.3295 0.3479 0.9854
Th2 Th 0.6705 0.6521 0.0146
Te1 Te 0.0694 0.7144 0.7440
Te2 Te 0.2743 0.5597 0.2463
Te3 Te 0.4631 0.0654 0.7618
Te4 Te 0.5369 0.9346 0.2382
Te5 Te 0.7257 0.4403 0.7537
Te6 Te 0.9306 0.2856 0.2560
Au1 Au 0.4477 0.7004 0.5927
Au2 Au 0.5523 0.2996 0.4073
```

---

Structure and simulated powder X-ray diffraction pattern of Tb3Pm8Dy2 (a DFT-relaxed cell (PBE, Alexandria); Cu Kα).
Peak positions follow from Bragg's law for the DFT cell and can differ from measured ones.

Most intense lines, 2θ from 10° to 90°, low angle first:
- 2θ 30.29, I = 100
- 2θ 35.09, I = 34
- 2θ 35.18, I = 17
- 2θ 50.51, I = 36
- 2θ 60.00, I = 29
- 2θ 60.12, I = 14
- 2θ 63.01, I = 12
- 2θ 82.25, I = 13
- 2θ 84.76, I = 6
- 2θ 84.82, I = 5

Structure:
```
data_Tb3Pm8Dy2
_chemical_formula_sum 'Tb3 Pm8 Dy2'
_symmetry_space_group_name_H-M 'P 1'
_symmetry_Int_Tables_number 1
_cell_length_a 6.2535
_cell_length_b 6.2624
_cell_length_c 11.4290
_cell_angle_alpha 79.47
_cell_angle_beta 89.89
_cell_angle_gamma 80.48
loop_
_symmetry_equiv_pos_as_xyz
'x,y,z'
loop_
_atom_site_label
_atom_site_type_symbol
_atom_site_fract_x
_atom_site_fract_y
_atom_site_fract_z
Tb1 Tb 0.0000 0.0000 0.0000
Tb2 Tb 0.2308 0.6145 0.5386
Tb3 Tb 0.7692 0.3855 0.4614
Pm1 Pm 0.0785 0.5388 0.8471
Pm2 Pm 0.1535 0.0777 0.6929
Pm3 Pm 0.3083 0.1539 0.3843
Pm4 Pm 0.3843 0.6928 0.2296
Pm5 Pm 0.6157 0.3072 0.7704
Pm6 Pm 0.6917 0.8461 0.6157
Pm7 Pm 0.8465 0.9223 0.3071
Pm8 Pm 0.9215 0.4612 0.1529
Dy1 Dy 0.4607 0.2305 0.0760
Dy2 Dy 0.5393 0.7695 0.9240
```